For Na3Mn2P2C2O14, a crystal structure in Alexandria, relaxed with PBE+U gives the computed X-ray diffraction stick pattern in this record (a wavelength of 1.5418 Å).
Lines closer than 0.1° are merged.

Crystal structure
```
Na3Mn2P2C2O14
1.0
10.4082 0.0000 0.0000
0.0000 6.4985 0.0000
-5.0551 0.0000 9.2074
Na Mn P C O
6 4 4 4 28
direct
0.0044 0.0000 0.2670
0.0312 0.4839 0.2770
0.4870 0.9511 0.7402
0.5130 0.4511 0.2598
0.9688 0.9839 0.7230
0.9956 0.5000 0.7330
0.1846 0.7541 0.1453
0.3190 0.2402 0.8531
0.6810 0.7402 0.1469
0.8154 0.2541 0.8547
0.1752 0.2484 0.0661
0.3142 0.7364 0.9245
0.6858 0.2364 0.0755
0.8248 0.7484 0.9339
0.1566 0.2308 0.5835
0.3560 0.7612 0.4056
0.6440 0.2612 0.5944
0.8434 0.7308 0.4165
0.0323 0.2494 0.9169
0.0869 0.2349 0.4474
0.0960 0.2262 0.6673
0.1766 0.0634 0.1597
0.1819 0.7583 0.9590
0.1839 0.4397 0.1588
0.2101 0.7563 0.3473
0.2793 0.5457 0.8250
0.3008 0.2330 0.6568
0.3078 0.2452 0.0362
0.3098 0.9245 0.8327
0.3928 0.7495 0.3014
0.4422 0.7754 0.5362
0.4591 0.7162 0.0663
0.5409 0.2162 0.9337
0.5578 0.2754 0.4638
0.6072 0.2495 0.6986
0.6902 0.4245 0.1673
0.6922 0.7452 0.9638
0.6992 0.7330 0.3432
0.7207 0.0457 0.1750
0.7899 0.2563 0.6527
0.8161 0.9397 0.8412
0.8181 0.2583 0.0410
0.8234 0.5634 0.8403
0.9040 0.7262 0.3327
0.9131 0.7349 0.5526
0.9677 0.7494 0.0831
```

Most intense lines, 2θ from 10° to 90°, by intensity:
| 2θ/deg | I_rel |
| --- | --- |
| 16.70 | 100 |
| 27.45 | 82 |
| 25.63 | 78 |
| 34.47 | 50 |
| 21.88 | 47 |
| 19.73 | 38 |
| 24.06 | 37 |
| 33.76 | 34 |